Diffraction record for YCoW2O8. The X-ray diffraction stick pattern is theoretical, not measured: it uses DFT lattice parameters and positions (PBE+U) and Cu Kα (λ = 1.5418 Å).
Intensities are scaled so that the largest is 100.

Cell and atoms:
```
YCoW2O8
1.0
5.0989 0.0000 0.0000
2.3396 5.5514 0.0000
0.0530 2.2184 5.6789
Y Co W O
1 1 2 8
Cartesian
0.0000 0.0000 0.0000
2.5760 1.1092 2.8395
2.4707 4.3571 3.7729
5.0208 3.4127 1.9060
1.5405 2.7221 2.6762
1.8087 3.5603 5.2779
3.1035 5.9613 4.3997
3.4087 4.6202 1.8743
4.0829 3.1496 3.8047
4.3880 1.8085 1.2792
5.6828 4.2095 0.4011
5.9510 5.0477 3.0027
```

Top 10 peaks for 5° ≤ 2θ ≤ 70°, most intense first:
2θ/deg  Rel. int.
26.43  100.0
27.44  84.9
30.06  76.1
30.96  70.8
17.15  64.8
34.66  53.4
15.60  46.1
35.24  44.8
22.93  43.9
29.88  41.7

---

Diffraction record for La2MgFe2Te2O12. The X-ray diffraction stick pattern is theoretical, not measured: it uses DFT lattice parameters and positions (PBE+U) and Cu Kα (λ = 1.5418 Å).
Intensities are scaled so that the largest is 100.

Cell and atoms:
```
La2MgFe2Te2O12
1.0
5.5776 0.0000 0.0000
-0.0214 5.6620 0.0000
-0.1192 -0.1411 7.8832
La Mg Fe Te O
2 1 2 2 12
Cartesian
0.0000 0.0000 0.0000
2.6509 2.8665 3.7792
2.6186 -0.0228 5.7898
2.6654 3.1833 7.5064
5.5028 2.7393 1.9593
2.7003 5.5697 1.9477
5.4244 2.6276 5.9033
0.3885 2.6155 7.7926
0.8576 1.0175 5.7006
1.1509 4.4206 2.1149
1.4844 3.7309 5.7021
1.6240 1.4722 2.1679
2.2412 5.3639 7.8692
3.0442 5.3724 3.8224
3.7450 3.9228 1.4999
3.7610 1.6340 6.3142
4.2559 1.0408 1.6579
4.2553 4.1879 6.2909
5.0135 2.7458 4.0265
```

Top 10 peaks for 5° ≤ 2θ ≤ 70°, most intense first:
2θ/deg  Rel. int.
31.62  100.0
31.95  99.3
32.10  50.5
32.40  46.8
19.14  41.4
19.47  39.8
19.36  38.9
19.64  36.0
37.49  32.7
56.76  31.7

---

Diffraction record for Li2MnF6. The X-ray diffraction stick pattern is theoretical, not measured: it uses DFT lattice parameters and positions (PBE+U) and Cu Kα (λ = 1.5418 Å).
Intensities are scaled so that the largest is 100.

Cell and atoms:
```
Li2MnF6
1.0
5.0429 0.0000 0.0000
-2.5215 4.3673 0.0000
0.0000 0.0000 9.0037
Li Mn F
4 2 12
Cartesian
0.0000 0.0000 0.0000
0.0000 0.0000 4.5018
0.0000 2.9115 2.3063
2.5215 1.4558 6.6974
0.0000 2.9115 6.7496
2.5215 1.4558 2.2540
-1.5300 2.8934 7.7816
-0.7638 1.5926 5.7046
-0.7603 4.2325 5.7046
0.7807 1.5956 7.7816
1.7721 0.1217 1.2221
0.9974 1.4578 3.2990
1.5241 2.9095 5.7046
0.7493 4.2456 7.7816
1.7408 2.7717 1.2221
3.2817 0.1348 3.2990
3.2853 2.7747 3.2990
4.0514 1.4739 1.2221
```

Top 10 peaks for 5° ≤ 2θ ≤ 70°, most intense first:
2θ/deg  Rel. int.
22.63  100.0
41.03  80.9
19.72  42.0
54.66  39.4
28.47  26.4
20.33  25.6
63.95  20.7
36.32  14.1
51.77  9.6
64.42  8.9

---

Diffraction record for Li7Mn12Cu5O32. The X-ray diffraction stick pattern is theoretical, not measured: it uses DFT lattice parameters and positions (PBE+U) and Cu Kα (λ = 1.5418 Å).
Intensities are scaled so that the largest is 100.

Cell and atoms:
```
Li7Mn12Cu5O32
1.0
8.2850 0.0000 0.0000
0.0032 8.3062 0.0000
0.0069 0.0068 8.3212
Li Mn Cu O
7 12 5 32
Cartesian
0.0000 0.0000 0.0000
0.0562 4.1553 4.1182
1.0851 5.2296 1.0261
3.1220 3.1462 5.1936
4.1577 4.2105 8.2769
5.2335 7.2786 7.2618
7.2846 1.0835 3.0815
1.0677 1.0634 5.2119
1.0716 3.1158 7.2424
1.0927 7.2832 3.0993
3.1131 1.0794 7.2795
3.1305 7.2902 1.0408
3.1354 5.2402 3.0833
5.2105 1.0857 1.0136
5.2226 3.1559 3.0664
5.2351 5.2150 5.1743
7.2418 3.1280 1.0119
7.2695 5.2175 7.2223
7.3033 7.2693 5.1955
2.0134 2.1755 2.1201
2.1742 6.1784 6.2879
4.2323 0.0820 4.1951
6.1876 2.0532 6.1550
6.3304 6.3231 2.0027
0.8771 3.1316 0.8807
0.9435 5.0329 7.2466
0.9860 7.3762 5.0926
1.0464 2.9407 5.3377
1.1086 0.9357 3.2991
1.1605 1.1556 7.1688
1.2279 7.3227 1.2251
1.2632 5.3822 3.1227
2.9511 2.9844 7.2788
3.0129 1.0321 5.3613
3.0745 7.2239 3.0264
3.1165 7.4198 7.4498
3.1665 5.4162 1.1829
3.2184 0.9751 0.9293
3.2548 3.3243 3.0808
3.3266 5.2544 5.0413
5.0292 1.0890 7.3872
5.0963 7.4784 1.0266
5.1286 5.1280 3.1845
5.1773 1.2364 2.9636
5.2218 3.2713 4.9897
5.2886 3.0424 1.1120
5.3627 5.1972 7.0488
5.3863 7.1640 5.1496
7.0843 1.2206 0.9989
7.1222 3.1655 2.8969
7.1912 5.3124 5.2602
7.2219 5.0846 0.8116
7.3092 7.0994 7.0958
7.3702 3.2314 7.3426
7.4137 0.8797 5.2114
7.4586 7.2954 3.2356
```

Top 10 peaks for 5° ≤ 2θ ≤ 70°, most intense first:
2θ/deg  Rel. int.
35.83  100.0
35.93  50.3
23.96  45.3
30.45  44.8
63.30  35.7
63.42  35.6
18.51  32.9
15.09  30.1
43.54  25.4
57.68  21.9

---

Diffraction record for BaSmNi4O12. The X-ray diffraction stick pattern is theoretical, not measured: it uses DFT lattice parameters and positions (PBE+U) and Cu Kα (λ = 1.5418 Å).
Intensities are scaled so that the largest is 100.

Cell and atoms:
```
BaSmNi4O12
1.0
5.4937 0.0000 0.0000
0.0000 5.4937 0.0000
0.0000 0.0000 7.7077
Ba Sm Ni O
1 1 4 12
Cartesian
0.0000 0.0000 0.0000
2.7469 2.7469 3.8538
0.0000 2.7469 1.9345
0.0000 2.7469 5.7731
2.7469 0.0000 1.9345
2.7469 0.0000 5.7731
0.0000 2.7469 0.0000
0.0000 2.7469 3.8538
1.4652 1.4652 2.0777
1.4652 1.4652 5.6300
1.4652 4.0286 2.0777
1.4652 4.0286 5.6300
2.7469 0.0000 0.0000
2.7469 0.0000 3.8538
4.0286 1.4652 2.0777
4.0286 1.4652 5.6300
4.0286 4.0286 2.0777
4.0286 4.0286 5.6300
```

Top 10 peaks for 5° ≤ 2θ ≤ 70°, most intense first:
2θ/deg  Rel. int.
19.85  100.0
32.73  80.4
32.60  41.4
38.46  36.0
46.77  33.5
58.26  31.7
68.60  18.2
38.69  17.3
58.51  16.4
51.46  16.1

---

Diffraction record for NaCo4C3O15. The X-ray diffraction stick pattern is theoretical, not measured: it uses DFT lattice parameters and positions (PBE+U) and Cu Kα (λ = 1.5418 Å).
Intensities are scaled so that the largest is 100.

Cell and atoms:
```
NaCo4C3O15
1.0
10.0234 0.0000 0.0000
0.0000 6.2009 0.0000
-4.9952 0.0000 8.7121
Na Co C O
2 8 6 30
Cartesian
0.0125 0.0000 0.0052
5.0157 3.1004 8.7069
-2.4681 5.5171 4.3174
0.0097 4.4728 5.8192
-0.0326 5.5180 8.7034
2.4966 2.4211 4.3106
2.5317 5.5215 4.4015
5.0608 2.4175 0.0087
5.0186 1.3724 2.8929
7.4963 2.4167 4.3947
-1.7233 0.8905 6.6966
0.1085 0.8993 3.8446
3.3779 3.9946 1.8406
1.6503 0.8942 6.8715
4.9197 3.9997 4.8675
6.7516 3.9910 2.0154
-0.1428 4.6475 1.7882
-3.6254 4.6440 7.8827
-1.1641 0.9117 3.6559
-1.3546 3.9590 4.5589
-2.1633 1.9933 6.2068
-1.7109 5.9556 6.0505
1.3011 1.5641 0.9161
0.7452 2.0038 3.7336
0.6595 5.9586 4.1645
-1.2481 0.9069 7.8895
-0.3715 3.9591 7.6205
2.5734 4.0086 2.8451
3.5973 5.1006 1.2323
1.7600 3.9621 5.2368
3.9311 2.8544 1.5241
1.0971 5.9549 7.1879
3.2682 0.8617 3.4752
1.4309 2.0002 7.4798
2.4548 0.9082 5.8670
5.3997 0.8586 1.0915
6.2763 4.0073 0.8226
4.3687 2.8582 4.5476
4.2830 5.1042 4.9785
3.7271 4.6645 7.7959
6.7391 2.8552 2.6616
7.1915 5.0937 2.5053
6.3828 0.8585 4.1532
6.1923 4.0121 5.0561
8.6536 1.5436 0.8294
5.1710 1.5470 6.9238
```

Top 10 peaks for 5° ≤ 2θ ≤ 70°, most intense first:
2θ/deg  Rel. int.
10.17  100.0
20.43  75.5
35.56  40.4
25.01  21.3
30.79  19.1
39.97  17.1
35.73  15.1
51.30  15.1
34.12  11.3
17.57  9.6

---

Diffraction record for KBaSrMnO6. The X-ray diffraction stick pattern is theoretical, not measured: it uses DFT lattice parameters and positions (PBE+U) and Cu Kα (λ = 1.5418 Å).
Intensities are scaled so that the largest is 100.

Cell and atoms:
```
KBaSrMnO6
1.0
0.0000 4.3274 4.3274
4.3274 0.0000 4.3274
4.3274 4.3274 0.0000
K Ba Sr Mn O
1 1 1 1 6
Cartesian
0.0000 0.0000 0.0000
4.3274 4.3274 4.3274
2.1637 2.1637 2.1637
6.4911 6.4911 6.4911
6.4911 6.4911 4.5946
6.4911 4.5946 6.4911
8.3876 6.4911 6.4911
4.5946 6.4911 6.4911
6.4911 8.3876 6.4911
6.4911 6.4911 8.3876
```

Top 10 peaks for 5° ≤ 2θ ≤ 70°, most intense first:
2θ/deg  Rel. int.
29.18  100.0
51.75  37.2
41.75  36.1
17.75  21.2
60.51  20.9
68.58  18.5
34.37  15.0
45.69  8.5
35.95  6.5
55.14  5.5